[1]
Diffraction record for Sm2Ga6Ni. The PXRD pattern is computed, not measured: it uses a crystal structure in Alexandria, relaxed with GGA-PBE and a wavelength of 1.5418 Å.

Cell and atoms:
```
data_Sm2Ga6Ni
_cell_length_a 6.211
_cell_length_b 6.211
_cell_length_c 6.211
_cell_angle_alpha 60.00
_cell_angle_beta 60.00
_cell_angle_gamma 60.00
_space_group_name_H-M_alt 'P 1'
_space_group_IT_number 1
_space_group_name_Hall 'P 1'
loop_
_atom_site_label
_atom_site_type_symbol
_atom_site_fract_x
_atom_site_fract_y
_atom_site_fract_z
Sm1 Sm 0.250 0.250 0.250
Sm2 Sm 0.750 0.750 0.750
Ga1 Ga 0.223 0.223 0.777
Ga2 Ga 0.223 0.777 0.223
Ga3 Ga 0.223 0.777 0.777
Ga4 Ga 0.777 0.223 0.223
Ga5 Ga 0.777 0.223 0.777
Ga6 Ga 0.777 0.777 0.223
Ni1 Ni 0.500 0.500 0.500
```

Peak list (6 most intense, 10° ≤ 2θ ≤ 90°, by intensity)
2θ = 35.40°, I = 100
2θ = 41.11°, I = 70
2θ = 59.54°, I = 42
2θ = 28.75°, I = 34
2θ = 71.21°, I = 31
2θ = 74.90°, I = 13

=====

[2]
Diffraction record for Ga3Ni5Sn2. The PXRD pattern is computed, not measured: it uses a crystal structure in Alexandria, relaxed with GGA-PBE and a wavelength of 1.5418 Å.

Cell and atoms:
```
data_Ga3Ni5Sn2
_cell_length_a 6.503
_cell_length_b 6.503
_cell_length_c 11.507
_cell_angle_alpha 90.00
_cell_angle_beta 90.00
_cell_angle_gamma 143.02
_space_group_name_H-M_alt 'P 1'
_space_group_IT_number 1
_space_group_name_Hall 'P 1'
loop_
_atom_site_label
_atom_site_type_symbol
_atom_site_fract_x
_atom_site_fract_y
_atom_site_fract_z
Ga1 Ga 0.000 0.000 0.000
Ga2 Ga 0.000 0.000 0.500
Ga3 Ga 0.331 0.669 0.526
Ga4 Ga 0.331 0.669 0.974
Ga5 Ga 0.669 0.331 0.026
Ga6 Ga 0.669 0.331 0.474
Ni1 Ni 0.158 0.842 0.623
Ni2 Ni 0.158 0.842 0.877
Ni3 Ni 0.338 0.662 0.750
Ni4 Ni 0.481 0.519 0.120
Ni5 Ni 0.481 0.519 0.380
Ni6 Ni 0.519 0.481 0.620
Ni7 Ni 0.519 0.481 0.880
Ni8 Ni 0.662 0.338 0.250
Ni9 Ni 0.842 0.158 0.123
Ni10 Ni 0.842 0.158 0.377
Sn1 Sn 0.034 0.966 0.250
Sn2 Sn 0.294 0.706 0.250
Sn3 Sn 0.706 0.294 0.750
Sn4 Sn 0.966 0.034 0.750
```

Peak list (6 most intense, 10° ≤ 2θ ≤ 90°, by intensity)
2θ = 44.26°, I = 100
2θ = 43.90°, I = 33
2θ = 43.46°, I = 27
2θ = 32.70°, I = 23
2θ = 80.97°, I = 19
2θ = 44.05°, I = 16

=====

[3]
Diffraction record for Tb3Ga2Ni9Sn. The PXRD pattern is computed, not measured: it uses a crystal structure in Alexandria, relaxed with GGA-PBE and a wavelength of 1.5418 Å.

Cell and atoms:
```
data_Tb3Ga2Ni9Sn
_cell_length_a 5.972
_cell_length_b 5.972
_cell_length_c 9.031
_cell_angle_alpha 90.00
_cell_angle_beta 90.00
_cell_angle_gamma 120.00
_space_group_name_H-M_alt 'P 1'
_space_group_IT_number 1
_space_group_name_Hall 'P 1'
loop_
_atom_site_label
_atom_site_type_symbol
_atom_site_fract_x
_atom_site_fract_y
_atom_site_fract_z
Tb1 Tb 0.000 0.000 0.000
Tb2 Tb 0.333 0.667 0.733
Tb3 Tb 0.667 0.333 0.267
Ga1 Ga 0.333 0.667 0.177
Ga2 Ga 0.667 0.333 0.823
Ni1 Ni 0.000 0.500 0.000
Ni2 Ni 0.133 0.266 0.266
Ni3 Ni 0.133 0.867 0.266
Ni4 Ni 0.266 0.133 0.734
Ni5 Ni 0.500 0.000 0.000
Ni6 Ni 0.500 0.500 0.000
Ni7 Ni 0.734 0.867 0.266
Ni8 Ni 0.867 0.133 0.734
Ni9 Ni 0.867 0.734 0.734
Sn1 Sn 0.000 0.000 0.500
```

Peak list (6 most intense, 10° ≤ 2θ ≤ 90°, by intensity)
2θ = 40.19°, I = 100
2θ = 29.93°, I = 54
2θ = 36.13°, I = 48
2θ = 50.91°, I = 39
2θ = 26.20°, I = 36
2θ = 39.93°, I = 27

=====

[4]
Diffraction record for Tm3Ga2Ni9Sn. The PXRD pattern is computed, not measured: it uses a crystal structure in Alexandria, relaxed with GGA-PBE and a wavelength of 1.5418 Å.

Cell and atoms:
```
data_Tm3Ga2Ni9Sn
_cell_length_a 5.937
_cell_length_b 5.937
_cell_length_c 9.026
_cell_angle_alpha 90.00
_cell_angle_beta 90.00
_cell_angle_gamma 120.00
_space_group_name_H-M_alt 'P 1'
_space_group_IT_number 1
_space_group_name_Hall 'P 1'
loop_
_atom_site_label
_atom_site_type_symbol
_atom_site_fract_x
_atom_site_fract_y
_atom_site_fract_z
Tm1 Tm 0.000 0.000 0.000
Tm2 Tm 0.333 0.667 0.743
Tm3 Tm 0.667 0.333 0.257
Ga1 Ga 0.333 0.667 0.177
Ga2 Ga 0.667 0.333 0.823
Ni1 Ni 0.000 0.500 0.000
Ni2 Ni 0.133 0.265 0.265
Ni3 Ni 0.133 0.867 0.265
Ni4 Ni 0.265 0.133 0.735
Ni5 Ni 0.500 0.000 0.000
Ni6 Ni 0.500 0.500 0.000
Ni7 Ni 0.735 0.867 0.265
Ni8 Ni 0.867 0.133 0.735
Ni9 Ni 0.867 0.735 0.735
Sn1 Sn 0.000 0.000 0.500
```

Peak list (6 most intense, 10° ≤ 2θ ≤ 90°, by intensity)
2θ = 40.38°, I = 100
2θ = 30.11°, I = 58
2θ = 36.34°, I = 47
2θ = 51.18°, I = 41
2θ = 26.28°, I = 36
2θ = 46.47°, I = 31

=====

[5]
Diffraction record for TaGa3Ni. The PXRD pattern is computed, not measured: it uses a crystal structure in Alexandria, relaxed with GGA-PBE and a wavelength of 1.5418 Å.

Cell and atoms:
```
data_TaGa3Ni
_cell_length_a 4.441
_cell_length_b 4.441
_cell_length_c 4.441
_cell_angle_alpha 90.00
_cell_angle_beta 90.00
_cell_angle_gamma 90.00
_space_group_name_H-M_alt 'P 1'
_space_group_IT_number 1
_space_group_name_Hall 'P 1'
loop_
_atom_site_label
_atom_site_type_symbol
_atom_site_fract_x
_atom_site_fract_y
_atom_site_fract_z
Ta1 Ta 0.000 0.000 0.000
Ga1 Ga 0.000 0.500 0.500
Ga2 Ga 0.500 0.000 0.500
Ga3 Ga 0.500 0.500 0.000
Ni1 Ni 0.500 0.500 0.500
```

Peak list (6 most intense, 10° ≤ 2θ ≤ 90°, by intensity)
2θ = 34.99°, I = 100
2θ = 40.63°, I = 96
2θ = 28.42°, I = 67
2θ = 58.81°, I = 63
2θ = 70.30°, I = 39
2θ = 50.32°, I = 28

=====

[6]
Diffraction record for Ta2Ga4Ni. The PXRD pattern is computed, not measured: it uses a crystal structure in Alexandria, relaxed with GGA-PBE and a wavelength of 1.5418 Å.

Cell and atoms:
```
data_Ta2Ga4Ni
_cell_length_a 7.718
_cell_length_b 7.718
_cell_length_c 5.495
_cell_angle_alpha 110.39
_cell_angle_beta 110.39
_cell_angle_gamma 22.21
_space_group_name_H-M_alt 'P 1'
_space_group_IT_number 1
_space_group_name_Hall 'P 1'
loop_
_atom_site_label
_atom_site_type_symbol
_atom_site_fract_x
_atom_site_fract_y
_atom_site_fract_z
Ta1 Ta 0.244 0.244 0.227
Ta2 Ta 0.756 0.756 0.773
Ga1 Ga 0.095 0.095 0.741
Ga2 Ga 0.399 0.399 0.679
Ga3 Ga 0.601 0.601 0.321
Ga4 Ga 0.905 0.905 0.259
Ni1 Ni 0.000 0.000 0.000
```

Peak list (6 most intense, 10° ≤ 2θ ≤ 90°, by intensity)
2θ = 36.68°, I = 100
2θ = 42.91°, I = 82
2θ = 12.50°, I = 68
2θ = 41.78°, I = 48
2θ = 34.93°, I = 44
2θ = 38.13°, I = 37

=====

[7]
Diffraction record for TbGa5Ni3. The PXRD pattern is computed, not measured: it uses a crystal structure in Alexandria, relaxed with GGA-PBE and a wavelength of 1.5418 Å.

Cell and atoms:
```
data_TbGa5Ni3
_cell_length_a 6.466
_cell_length_b 6.466
_cell_length_c 12.264
_cell_angle_alpha 90.00
_cell_angle_beta 90.00
_cell_angle_gamma 144.90
_space_group_name_H-M_alt 'P 1'
_space_group_IT_number 1
_space_group_name_Hall 'P 1'
loop_
_atom_site_label
_atom_site_type_symbol
_atom_site_fract_x
_atom_site_fract_y
_atom_site_fract_z
Tb1 Tb 0.168 0.832 0.750
Tb2 Tb 0.832 0.168 0.250
Ga1 Ga 0.000 0.000 0.000
Ga2 Ga 0.000 0.000 0.500
Ga3 Ga 0.206 0.794 0.067
Ga4 Ga 0.206 0.794 0.433
Ga5 Ga 0.445 0.555 0.652
Ga6 Ga 0.445 0.555 0.848
Ga7 Ga 0.555 0.445 0.152
Ga8 Ga 0.555 0.445 0.348
Ga9 Ga 0.794 0.206 0.567
Ga10 Ga 0.794 0.206 0.933
Ni1 Ni 0.134 0.866 0.250
Ni2 Ni 0.394 0.606 0.040
Ni3 Ni 0.394 0.606 0.460
Ni4 Ni 0.606 0.394 0.540
Ni5 Ni 0.606 0.394 0.960
Ni6 Ni 0.866 0.134 0.750
```

Peak list (6 most intense, 10° ≤ 2θ ≤ 90°, by intensity)
2θ = 32.54°, I = 100
2θ = 34.93°, I = 78
2θ = 46.58°, I = 60
2θ = 43.41°, I = 47
2θ = 38.04°, I = 46
2θ = 31.63°, I = 44

=====

[8]
Diffraction record for Tb2Ga9Ni6. The PXRD pattern is computed, not measured: it uses a crystal structure in Alexandria, relaxed with GGA-PBE and a wavelength of 1.5418 Å.

Cell and atoms:
```
data_Tb2Ga9Ni6
_cell_length_a 5.299
_cell_length_b 5.299
_cell_length_c 11.712
_cell_angle_alpha 90.00
_cell_angle_beta 90.00
_cell_angle_gamma 120.00
_space_group_name_H-M_alt 'P 1'
_space_group_IT_number 1
_space_group_name_Hall 'P 1'
loop_
_atom_site_label
_atom_site_type_symbol
_atom_site_fract_x
_atom_site_fract_y
_atom_site_fract_z
Tb1 Tb 0.000 0.000 0.163
Tb2 Tb 0.000 0.000 0.837
Ga1 Ga 0.000 0.500 0.000
Ga2 Ga 0.000 0.500 0.340
Ga3 Ga 0.000 0.500 0.660
Ga4 Ga 0.500 0.000 0.000
Ga5 Ga 0.500 0.000 0.340
Ga6 Ga 0.500 0.000 0.660
Ga7 Ga 0.500 0.500 0.000
Ga8 Ga 0.500 0.500 0.340
Ga9 Ga 0.500 0.500 0.660
Ni1 Ni 0.333 0.667 0.172
Ni2 Ni 0.333 0.667 0.500
Ni3 Ni 0.333 0.667 0.828
Ni4 Ni 0.667 0.333 0.172
Ni5 Ni 0.667 0.333 0.500
Ni6 Ni 0.667 0.333 0.828
```

Peak list (6 most intense, 10° ≤ 2θ ≤ 90°, by intensity)
2θ = 41.18°, I = 100
2θ = 39.27°, I = 41
2θ = 30.05°, I = 31
2θ = 46.52°, I = 25
2θ = 45.87°, I = 24
2θ = 33.83°, I = 24